Computed PXRD pattern
Compound: HoAl2SbO8
Radiation: copper Kα
Structure: DFT lattice parameters and positions (GGA-PBE)

Peak list (10 most intense, 2θ from 15° to 90°, most intense first)
2θ 26.49, I 100; 2θ 19.06, I 94; 2θ 33.56, I 75; 2θ 51.44, I 64; 2θ 32.84, I 27; 2θ 42.68, I 25; 2θ 44.21, I 20; 2θ 50.94, I 20; 2θ 65.59, I 19; 2θ 37.82, I 18

Cell and atoms:
```
data_HoAl2SbO8
_chemical_formula_sum 'Ho2 Al4 Sb2 O16'
_cell_length_a 6.729
_cell_length_b 6.729
_cell_length_c 6.452
_cell_angle_alpha 90.00
_cell_angle_beta 90.00
_cell_angle_gamma 90.00
_symmetry_space_group_name_H-M 'I -4 m 2'
_symmetry_Int_Tables_number 119
_symmetry_space_group_name_Hall 'I -4 -2'
loop_
_atom_site_label
_atom_site_fract_x
_atom_site_fract_y
_atom_site_fract_z
Ho1 0.000 0.000 0.000
Al1 0.000 0.000 0.500
Al2 0.000 0.500 0.750
Sb1 0.000 0.500 0.250
O1 0.000 0.199 0.317
O2 0.000 0.324 0.950
```

=====

Computed PXRD pattern
Compound: Pm8DyHo3
Radiation: copper Kα
Structure: DFT lattice parameters and positions (GGA-PBE)

Peak list (10 most intense, 2θ from 15° to 90°, most intense first)
2θ 30.34, I 100; 2θ 35.13, I 34; 2θ 50.62, I 30; 2θ 35.26, I 17; 2θ 60.01, I 14; 2θ 60.14, I 14; 2θ 60.25, I 14; 2θ 82.45, I 7; 2θ 63.02, I 6; 2θ 63.19, I 6

Cell and atoms:
```
data_Pm8DyHo3
_chemical_formula_sum 'Pm8 Dy1 Ho3'
_cell_length_a 6.250
_cell_length_b 7.240
_cell_length_c 9.530
_cell_angle_alpha 79.01
_cell_angle_beta 77.29
_cell_angle_gamma 73.11
_symmetry_space_group_name_H-M 'P -1'
_symmetry_Int_Tables_number 2
_symmetry_space_group_name_Hall '-P 1'
loop_
_atom_site_label
_atom_site_fract_x
_atom_site_fract_y
_atom_site_fract_z
Pm1 0.001 0.333 0.167
Pm2 0.001 0.833 0.167
Pm3 0.499 0.167 0.333
Pm4 0.499 0.667 0.333
Dy1 0.000 0.000 0.500
Ho1 0.000 0.500 0.500
Ho2 0.500 0.000 0.000
Ho3 0.500 0.500 0.000
```

=====

Computed PXRD pattern
Compound: Pm4InBiC
Radiation: copper Kα
Structure: DFT lattice parameters and positions (GGA-PBE)

Peak list (10 most intense, 2θ from 15° to 90°, most intense first)
2θ 33.44, I 100; 2θ 27.47, I 61; 2θ 35.93, I 59; 2θ 49.35, I 37; 2θ 63.00, I 33; 2θ 32.67, I 32; 2θ 51.72, I 21; 2θ 25.19, I 19; 2θ 62.29, I 18; 2θ 62.54, I 17

Cell and atoms:
```
data_Pm4InBiC
_chemical_formula_sum 'Pm16 In4 Bi4 C4'
_cell_length_a 7.071
_cell_length_b 16.437
_cell_length_c 7.068
_cell_angle_alpha 90.00
_cell_angle_beta 90.00
_cell_angle_gamma 90.00
_symmetry_space_group_name_H-M 'C m c m'
_symmetry_Int_Tables_number 63
_symmetry_space_group_name_Hall '-C 2c 2'
loop_
_atom_site_label
_atom_site_fract_x
_atom_site_fract_y
_atom_site_fract_z
Pm1 0.000 0.089 0.250
Pm2 0.000 0.407 0.250
Pm3 0.250 0.250 0.000
In1 0.000 0.113 0.750
Bi1 0.000 0.392 0.750
C1 0.000 0.251 0.250
```

=====

Computed PXRD pattern
Compound: YMgSi2Pt5
Radiation: copper Kα
Structure: DFT lattice parameters and positions (GGA-PBE)

Peak list (10 most intense, 2θ from 15° to 90°, most intense first)
2θ 36.69, I 100; 2θ 43.75, I 35; 2θ 75.73, I 25; 2θ 19.84, I 21; 2θ 60.99, I 20; 2θ 40.30, I 17; 2θ 70.91, I 14; 2θ 63.60, I 11; 2θ 30.55, I 11; 2θ 43.31, I 11

Cell and atoms:
```
data_YMgSi2Pt5
_chemical_formula_sum 'Y1 Mg1 Si2 Pt5'
_cell_length_a 4.138
_cell_length_b 4.138
_cell_length_c 8.951
_cell_angle_alpha 90.00
_cell_angle_beta 90.00
_cell_angle_gamma 90.00
_symmetry_space_group_name_H-M 'P 4/m m m'
_symmetry_Int_Tables_number 123
_symmetry_space_group_name_Hall '-P 4 2'
loop_
_atom_site_label
_atom_site_fract_x
_atom_site_fract_y
_atom_site_fract_z
Y1 0.000 0.000 0.000
Mg1 0.000 0.000 0.500
Si1 0.500 0.500 0.373
Pt1 0.000 0.500 0.240
Pt2 0.500 0.500 0.000
```

=====

Computed PXRD pattern
Compound: Rb2BeReCl6
Radiation: copper Kα
Structure: DFT lattice parameters and positions (GGA-PBE)

Peak list (10 most intense, 2θ from 15° to 90°, most intense first)
2θ 15.57, I 100; 2θ 25.02, I 98; 2θ 37.97, I 61; 2θ 30.97, I 54; 2θ 51.35, I 47; 2θ 33.26, I 44; 2θ 26.60, I 42; 2θ 46.02, I 38; 2θ 31.44, I 25; 2θ 43.08, I 22

Cell and atoms:
```
data_Rb2BeReCl6
_chemical_formula_sum 'Rb4 Be2 Re2 Cl12'
_cell_length_a 6.702
_cell_length_b 6.702
_cell_length_c 10.776
_cell_angle_alpha 90.00
_cell_angle_beta 90.00
_cell_angle_gamma 90.00
_symmetry_space_group_name_H-M 'I 4/m m m'
_symmetry_Int_Tables_number 139
_symmetry_space_group_name_Hall '-I 4 2'
loop_
_atom_site_label
_atom_site_fract_x
_atom_site_fract_y
_atom_site_fract_z
Rb1 0.000 0.500 0.250
Be1 0.000 0.000 0.000
Re1 0.000 0.000 0.500
Cl1 0.000 0.000 0.274
Cl2 0.234 0.234 0.000
```

=====

Computed PXRD pattern
Compound: Sr2Rh3O8
Radiation: copper Kα
Structure: DFT lattice parameters and positions (GGA-PBE)

Peak list (10 most intense, 2θ from 15° to 90°, most intense first)
2θ 26.10, I 100; 2θ 28.63, I 94; 2θ 16.42, I 94; 2θ 34.44, I 71; 2θ 33.39, I 67; 2θ 42.86, I 61; 2θ 32.75, I 59; 2θ 52.38, I 57; 2θ 33.60, I 52; 2θ 33.20, I 47

Cell and atoms:
```
data_Sr2Rh3O8
_chemical_formula_sum 'Sr4 Rh6 O16'
_cell_length_a 11.525
_cell_length_b 6.343
_cell_length_c 5.376
_cell_angle_alpha 90.00
_cell_angle_beta 110.50
_cell_angle_gamma 90.00
_symmetry_space_group_name_H-M 'C 1 2/m 1'
_symmetry_Int_Tables_number 12
_symmetry_space_group_name_Hall '-C 2y'
loop_
_atom_site_label
_atom_site_fract_x
_atom_site_fract_y
_atom_site_fract_z
Sr1 0.221 0.000 0.168
Rh1 0.000 0.245 0.500
Rh2 0.000 0.500 0.000
O1 0.094 0.500 0.408
O2 0.098 0.282 0.888
O3 0.101 0.000 0.463
```

=====

Computed PXRD pattern
Compound: Nd4HoTe7
Radiation: copper Kα
Structure: DFT lattice parameters and positions (GGA-PBE)

Peak list (10 most intense, 2θ from 15° to 90°, most intense first)
2θ 28.95, I 100; 2θ 27.57, I 83; 2θ 29.90, I 70; 2θ 41.59, I 64; 2θ 26.69, I 59; 2θ 36.35, I 51; 2θ 31.83, I 51; 2θ 27.91, I 48; 2θ 41.21, I 46; 2θ 20.75, I 44

Cell and atoms:
```
data_Nd4HoTe7
_chemical_formula_sum 'Nd8 Ho2 Te14'
_cell_length_a 14.643
_cell_length_b 4.343
_cell_length_c 13.425
_cell_angle_alpha 90.00
_cell_angle_beta 104.59
_cell_angle_gamma 90.00
_symmetry_space_group_name_H-M 'C 1 m 1'
_symmetry_Int_Tables_number 8
_symmetry_space_group_name_Hall 'C -2y'
loop_
_atom_site_label
_atom_site_fract_x
_atom_site_fract_y
_atom_site_fract_z
Nd1 0.000 0.000 0.000
Nd2 0.086 0.500 0.382
Nd3 0.186 0.000 0.765
Nd4 0.386 0.500 0.571
Ho1 0.271 0.500 0.149
Te1 0.048 0.500 0.622
Te2 0.131 0.500 0.928
Te3 0.151 0.000 0.223
Te4 0.223 0.000 0.525
Te5 0.349 0.500 0.790
Te6 0.382 0.000 0.077
Te7 0.421 0.500 0.351
```

=====

Computed PXRD pattern
Compound: KPrBN2
Radiation: copper Kα
Structure: DFT lattice parameters and positions (GGA-PBE)

Peak list (10 most intense, 2θ from 15° to 90°, most intense first)
2θ 33.90, I 100; 2θ 23.59, I 96; 2θ 18.23, I 61; 2θ 38.74, I 36; 2θ 24.00, I 33; 2θ 28.34, I 27; 2θ 54.60, I 25; 2θ 36.94, I 24; 2θ 29.95, I 24; 2θ 43.13, I 19

Cell and atoms:
```
data_KPrBN2
_chemical_formula_sum 'K2 Pr2 B2 N4'
_cell_length_a 4.867
_cell_length_b 5.966
_cell_length_c 7.417
_cell_angle_alpha 90.00
_cell_angle_beta 90.00
_cell_angle_gamma 90.00
_symmetry_space_group_name_H-M 'P 1 2/c 1'
_symmetry_Int_Tables_number 13
_symmetry_space_group_name_Hall '-P 2yc'
loop_
_atom_site_label
_atom_site_fract_x
_atom_site_fract_y
_atom_site_fract_z
K1 0.000 0.017 0.250
Pr1 0.500 0.492 0.750
B1 0.500 0.000 0.000
N1 0.497 0.225 0.496
```

=====

Computed PXRD pattern
Compound: Tb2SmWN4
Radiation: copper Kα
Structure: DFT lattice parameters and positions (GGA-PBE)

Peak list (10 most intense, 2θ from 15° to 90°, most intense first)
2θ 31.09, I 100; 2θ 37.95, I 72; 2θ 29.82, I 43; 2θ 30.19, I 39; 2θ 53.71, I 22; 2θ 42.95, I 22; 2θ 52.30, I 19; 2θ 35.57, I 17; 2θ 63.32, I 16; 2θ 35.41, I 15

Cell and atoms:
```
data_Tb2SmWN4
_chemical_formula_sum 'Tb8 Sm4 W4 N16'
_cell_length_a 3.414
_cell_length_b 11.841
_cell_length_c 11.983
_cell_angle_alpha 90.00
_cell_angle_beta 90.00
_cell_angle_gamma 90.00
_symmetry_space_group_name_H-M 'C m c m'
_symmetry_Int_Tables_number 63
_symmetry_space_group_name_Hall '-C 2c 2'
loop_
_atom_site_label
_atom_site_fract_x
_atom_site_fract_y
_atom_site_fract_z
Tb1 0.000 0.130 0.037
Sm1 0.000 0.402 0.250
W1 0.000 0.339 0.750
N1 0.000 0.058 0.250
N2 0.000 0.237 0.625
N3 0.000 0.500 0.000
```

=====

Computed PXRD pattern
Compound: YTaGa
Radiation: copper Kα
Structure: DFT lattice parameters and positions (GGA-PBE)

Peak list (10 most intense, 2θ from 15° to 90°, most intense first)
2θ 38.62, I 100; 2θ 33.18, I 91; 2θ 44.69, I 46; 2θ 33.59, I 30; 2θ 57.04, I 27; 2θ 78.27, I 25; 2θ 75.00, I 17; 2θ 31.40, I 15; 2θ 65.04, I 15; 2θ 46.18, I 12

Cell and atoms:
```
data_YTaGa
_chemical_formula_sum 'Y2 Ta2 Ga2'
_cell_length_a 4.056
_cell_length_b 4.056
_cell_length_c 8.004
_cell_angle_alpha 90.00
_cell_angle_beta 90.00
_cell_angle_gamma 90.00
_symmetry_space_group_name_H-M 'P 4/n m m'
_symmetry_Int_Tables_number 129
loop_
_symmetry_equiv_pos_as_xyz
'x,y,z'
'-x,-y,-z'
'-y+1/2,x,z'
'y+1/2,-x,-z'
'-x+1/2,-y+1/2,z'
'x+1/2,y+1/2,-z'
'y,-x+1/2,z'
'-y,x+1/2,-z'
'x+1/2,-y,-z'
'-x+1/2,y,z'
'-y,-x,-z'
'y,x,z'
'-x,y+1/2,-z'
'x,-y+1/2,z'
'y+1/2,x+1/2,-z'
'-y+1/2,-x+1/2,z'
loop_
_atom_site_label
_atom_site_fract_x
_atom_site_fract_y
_atom_site_fract_z
Y1 0.250 0.250 0.160
Ta1 0.250 0.750 0.500
Ga1 0.250 0.250 0.748
```

=====

Computed PXRD pattern
Compound: ZnAuC
Radiation: copper Kα
Structure: DFT lattice parameters and positions (GGA-PBE)

Peak list (10 most intense, 2θ from 15° to 90°, most intense first)
2θ 34.14, I 100; 2θ 40.71, I 73; 2θ 30.86, I 69; 2θ 36.68, I 62; 2θ 32.81, I 56; 2θ 38.16, I 56; 2θ 26.57, I 47; 2θ 41.59, I 45; 2θ 44.83, I 43; 2θ 39.36, I 43

Cell and atoms:
```
data_ZnAuC
_chemical_formula_sum 'Zn2 Au2 C2'
_cell_length_a 4.962
_cell_length_b 3.317
_cell_length_c 6.152
_cell_angle_alpha 90.00
_cell_angle_beta 104.43
_cell_angle_gamma 90.00
_symmetry_space_group_name_H-M 'P 1 m 1'
_symmetry_Int_Tables_number 6
_symmetry_space_group_name_Hall 'P -2y'
loop_
_atom_site_label
_atom_site_fract_x
_atom_site_fract_y
_atom_site_fract_z
Zn1 0.000 0.000 0.000
Zn2 0.490 0.500 0.179
Au1 0.451 0.000 0.835
Au2 0.828 0.500 0.649
C1 0.126 0.500 0.253
C2 0.902 0.500 0.320
```

=====

Computed PXRD pattern
Compound: Nd2ThCd2Sn2
Radiation: copper Kα
Structure: DFT lattice parameters and positions (GGA-PBE)

Peak list (10 most intense, 2θ from 15° to 90°, most intense first)
2θ 32.76, I 100; 2θ 36.02, I 99; 2θ 30.31, I 48; 2θ 49.48, I 32; 2θ 62.71, I 31; 2θ 61.72, I 30; 2θ 20.81, I 21; 2θ 64.76, I 18; 2θ 47.77, I 14; 2θ 85.63, I 14

Cell and atoms:
```
data_Nd2ThCd2Sn2
_chemical_formula_sum 'Nd6 Th3 Cd6 Sn6'
_cell_length_a 4.9866
_cell_length_b 4.9866
_cell_length_c 28.2553
_cell_angle_alpha 90.00
_cell_angle_beta 90.00
_cell_angle_gamma 120.00
_symmetry_space_group_name_H-M 'R -3 m'
_symmetry_Int_Tables_number 166
_symmetry_space_group_name_Hall '-R 3 2"'
loop_
_atom_site_label
_atom_site_fract_x
_atom_site_fract_y
_atom_site_fract_z
Nd1 0.0000 0.0000 0.1277
Th1 0.0000 0.0000 0.0000
Cd1 0.0000 0.0000 0.3924
Sn1 0.0000 0.0000 0.2595
```